(1)
For Ti4Re3Au, a GGA-PBE-relaxed structure gives the computed X-ray diffraction stick pattern in this record (Cu Ka).
Lines closer than 0.1° are merged.

Structure:
```
data_Ti4Re3Au
_cell_length_a 3.1771
_cell_length_b 4.4579
_cell_length_c 8.7727
_cell_angle_alpha 90.00
_cell_angle_beta 90.00
_cell_angle_gamma 90.00
_space_group_name_H-M_alt 'P m m m'
_space_group_IT_number 47
loop_
_space_group_symop_operation_xyz
'x,y,z'
'-x,-y,-z'
'-x,-y,z'
'x,y,-z'
'x,-y,-z'
'-x,y,z'
'-x,y,-z'
'x,-y,z'
loop_
_atom_site_label
_atom_site_type_symbol
_atom_site_fract_x
_atom_site_fract_y
_atom_site_fract_z
Ti1 Ti 0.0000 0.0000 0.0000
Ti2 Ti 0.0000 0.0000 0.5000
Ti3 Ti 0.0000 0.5000 0.2368
Re1 Re 0.5000 0.0000 0.2537
Re2 Re 0.5000 0.5000 0.0000
Au1 Au 0.5000 0.5000 0.5000
```

Peak list (12 most intense, 5 to 70 degrees two-theta, most intense first)
- 2.229 Å, 40.48°, intensity 1000
- 3.127 Å, 28.55°, intensity 356
- 2.193 Å, 41.16°, intensity 189
- 3.177 Å, 28.09°, intensity 185
- 1.563 Å, 59.09°, intensity 129
- 1.825 Å, 49.98°, intensity 82
- 1.805 Å, 50.57°, intensity 80
- 1.416 Å, 65.96°, intensity 74
- 1.403 Å, 66.68°, intensity 72
- 1.589 Å, 58.06°, intensity 69
- 1.407 Å, 66.43°, intensity 36
- 1.389 Å, 67.41°, intensity 36

=====

(2)
For TlReAu2, a GGA-PBE-relaxed structure gives the computed X-ray diffraction stick pattern in this record (Cu Ka).
Lines closer than 0.1° are merged.

Structure:
```
data_TlReAu2
_cell_length_a 3.0261
_cell_length_b 4.9219
_cell_length_c 10.2492
_cell_angle_alpha 90.00
_cell_angle_beta 90.00
_cell_angle_gamma 90.00
_space_group_name_H-M_alt 'C m m 2'
_space_group_IT_number 35
loop_
_space_group_symop_operation_xyz
'x,y,z'
'-x,-y,z'
'-x,y,z'
'x,-y,z'
'x+1/2,y+1/2,z'
'-x+1/2,-y+1/2,z'
'-x+1/2,y+1/2,z'
'x+1/2,-y+1/2,z'
loop_
_atom_site_label
_atom_site_type_symbol
_atom_site_fract_x
_atom_site_fract_y
_atom_site_fract_z
Tl1 Tl 0.0000 0.0000 0.0000
Re1 Re 0.0000 0.5000 0.2574
Au1 Au 0.0000 0.0000 0.4830
Au2 Au 0.0000 0.5000 0.7230
```

Peak list (12 most intense, 5 to 70 degrees two-theta, most intense first)
- 2.303 Å, 39.12°, intensity 1000
- 2.461 Å, 36.51°, intensity 310
- 2.562 Å, 35.02°, intensity 308
- 1.775 Å, 51.49°, intensity 210
- 1.388 Å, 67.46°, intensity 206
- 1.424 Å, 65.56°, intensity 176
- 1.513 Å, 61.26°, intensity 70
- 1.604 Å, 57.44°, intensity 29
- 3.416 Å, 26.08°, intensity 25
- 2.058 Å, 44.00°, intensity 21
- 10.249 Å, 8.63°, intensity 21
- 2.050 Å, 44.18°, intensity 15

=====

(3)
For ReWAu2, a GGA-PBE-relaxed structure gives the computed X-ray diffraction stick pattern in this record (Cu Ka).
Lines closer than 0.1° are merged.

Structure:
```
data_ReWAu2
_cell_length_a 2.8334
_cell_length_b 2.8334
_cell_length_c 8.3552
_cell_angle_alpha 90.00
_cell_angle_beta 90.00
_cell_angle_gamma 90.00
_space_group_name_H-M_alt 'P 4 m m'
_space_group_IT_number 99
loop_
_space_group_symop_operation_xyz
'x,y,z'
'-y,x,z'
'-x,-y,z'
'y,-x,z'
'-x,y,z'
'y,x,z'
'x,-y,z'
'-y,-x,z'
loop_
_atom_site_label
_atom_site_type_symbol
_atom_site_fract_x
_atom_site_fract_y
_atom_site_fract_z
Re1 Re 0.0000 0.0000 0.0000
W1 W 0.5000 0.5000 0.2192
Au1 Au 0.0000 0.0000 0.4730
Au2 Au 0.5000 0.5000 0.7479
```

Peak list (12 most intense, 5 to 70 degrees two-theta, most intense first)
- 2.345 Å, 38.39°, intensity 1000
- 2.004 Å, 45.26°, intensity 326
- 1.446 Å, 64.44°, intensity 203
- 2.089 Å, 43.32°, intensity 163
- 1.417 Å, 65.93°, intensity 108
- 1.439 Å, 64.77°, intensity 26
- 2.785 Å, 32.14°, intensity 19
- 1.626 Å, 56.59°, intensity 16
- 1.986 Å, 45.68°, intensity 14
- 2.683 Å, 33.39°, intensity 13
- 8.355 Å, 10.59°, intensity 8
- 1.671 Å, 54.95°, intensity 6

=====

(4)
For ReWAu2, a GGA-PBE-relaxed structure gives the computed X-ray diffraction stick pattern in this record (Cu Ka).
Lines closer than 0.1° are merged.

Structure:
```
data_ReWAu2
_cell_length_a 3.1215
_cell_length_b 4.5766
_cell_length_c 9.4803
_cell_angle_alpha 90.00
_cell_angle_beta 90.00
_cell_angle_gamma 90.00
_space_group_name_H-M_alt 'C m m 2'
_space_group_IT_number 35
loop_
_space_group_symop_operation_xyz
'x,y,z'
'-x,-y,z'
'-x,y,z'
'x,-y,z'
'x+1/2,y+1/2,z'
'-x+1/2,-y+1/2,z'
'-x+1/2,y+1/2,z'
'x+1/2,-y+1/2,z'
loop_
_atom_site_label
_atom_site_type_symbol
_atom_site_fract_x
_atom_site_fract_y
_atom_site_fract_z
Re1 Re 0.0000 0.0000 0.0000
W1 W 0.0000 0.5000 0.2209
Au1 Au 0.0000 0.0000 0.4765
Au2 Au 0.0000 0.5000 0.7412
```

Peak list (12 most intense, 5 to 70 degrees two-theta, most intense first)
- 2.265 Å, 39.79°, intensity 1000
- 2.370 Å, 37.96°, intensity 267
- 2.288 Å, 39.38°, intensity 263
- 1.646 Å, 55.85°, intensity 177
- 1.347 Å, 69.81°, intensity 165
- 1.561 Å, 59.20°, intensity 81
- 1.528 Å, 60.62°, intensity 25
- 3.160 Å, 28.24°, intensity 21
- 1.853 Å, 49.16°, intensity 9
- 2.488 Å, 36.10°, intensity 8
- 1.354 Å, 69.39°, intensity 8
- 1.998 Å, 45.39°, intensity 7

=====

(5)
For YReAu2, a GGA-PBE-relaxed structure gives the computed X-ray diffraction stick pattern in this record (Cu Ka).
Lines closer than 0.1° are merged.

Structure:
```
data_YReAu2
_cell_length_a 5.9870
_cell_length_b 8.1743
_cell_length_c 3.0631
_cell_angle_alpha 90.00
_cell_angle_beta 90.00
_cell_angle_gamma 90.00
_space_group_name_H-M_alt 'C m m m'
_space_group_IT_number 65
_space_group_name_Hall '-C 2 2'
loop_
_atom_site_label
_atom_site_type_symbol
_atom_site_fract_x
_atom_site_fract_y
_atom_site_fract_z
Y1 Y 0.0000 0.0000 0.0000
Re1 Re 0.0000 0.5000 0.0000
Au1 Au 0.2500 0.2500 0.5000
```

Peak list (12 most intense, 5 to 70 degrees two-theta, most intense first)
- 2.451 Å, 36.66°, intensity 1000
- 2.415 Å, 37.23°, intensity 959
- 2.141 Å, 42.21°, intensity 678
- 1.478 Å, 62.87°, intensity 420
- 2.044 Å, 44.33°, intensity 295
- 1.532 Å, 60.45°, intensity 118
- 1.497 Å, 62.00°, intensity 109
- 4.830 Å, 18.37°, intensity 100
- 4.087 Å, 21.74°, intensity 56
- 2.587 Å, 34.68°, intensity 44
- 1.896 Å, 47.97°, intensity 33
- 3.063 Å, 29.15°, intensity 29

=====

(6)
For RhAu, a GGA-PBE-relaxed structure gives the computed X-ray diffraction stick pattern in this record (Cu Ka).
Lines closer than 0.1° are merged.

Structure:
```
data_RhAu
_cell_length_a 2.8139
_cell_length_b 2.8139
_cell_length_c 9.4622
_cell_angle_alpha 90.00
_cell_angle_beta 90.00
_cell_angle_gamma 120.00
_space_group_name_H-M_alt 'P -3 m 1'
_space_group_IT_number 164
_space_group_name_Hall '-P 3 2"'
loop_
_atom_site_label
_atom_site_type_symbol
_atom_site_fract_x
_atom_site_fract_y
_atom_site_fract_z
Rh1 Rh 0.3333 0.6667 0.3905
Au1 Au 0.3333 0.6667 0.8638
```

Peak list (11 most intense, 5 to 70 degrees two-theta, most intense first)
- 2.166 Å, 41.69°, intensity 1000
- 2.364 Å, 38.07°, intensity 374
- 2.437 Å, 36.88°, intensity 240
- 1.407 Å, 66.45°, intensity 172
- 9.462 Å, 9.35°, intensity 153
- 1.697 Å, 54.03°, intensity 146
- 3.154 Å, 28.30°, intensity 92
- 1.495 Å, 62.10°, intensity 79
- 1.928 Å, 47.13°, intensity 38
- 1.352 Å, 69.54°, intensity 18
- 1.392 Å, 67.28°, intensity 10